Record 1
Diffraction record for Ho2TlAg. The powder XRD pattern is simulated, not measured: it uses a crystal structure in the Materials Project, relaxed with GGA-PBE and a wavelength of 1.5418 Å.
Peak positions follow from Bragg's law for the DFT cell and can differ from measured ones.

Crystal structure
Lattice parameters (Å, degrees): 5.2482 5.2482 5.2482 60.00 60.00 60.00
Fractional coordinates of all 4 atoms:
Ho  0.2500  0.2500  0.2500
Ho  0.7500  0.7500  0.7500
Tl  0.0000  0.0000  0.0000
Ag  0.5000  0.5000  0.5000

Principal peaks in the range 2θ from 10° to 80°, sorted by position:
2theta	I/Imax
20.73	4
34.17	100
40.30	2
49.10	18
53.84	1
61.17	37
65.33	1
71.97	11
75.83	1



Record 2
Diffraction record for HoTmAg2. The powder XRD pattern is simulated, not measured: it uses a crystal structure in the Materials Project, relaxed with GGA-PBE and a wavelength of 1.5418 Å.
Peak positions follow from Bragg's law for the DFT cell and can differ from measured ones.

Crystal structure
Lattice parameters (Å, degrees): 5.1063 5.1063 5.1063 60.00 60.00 60.00
Fractional coordinates of all 4 atoms:
Ho  0.0000  0.0000  0.0000
Tm  0.5000  0.5000  0.5000
Ag  0.2500  0.2500  0.2500
Ag  0.7500  0.7500  0.7500

Principal peaks in the range 2θ from 10° to 80°, sorted by position:
2theta	I/Imax
24.66	4
35.15	100
43.41	1
50.56	18
57.03	2
63.07	36
74.30	11
79.66	1



Record 3
Diffraction record for InAgI2. The powder XRD pattern is simulated, not measured: it uses a crystal structure in the Materials Project, relaxed with GGA-PBE and a wavelength of 1.5418 Å.
Peak positions follow from Bragg's law for the DFT cell and can differ from measured ones.

Crystal structure
Lattice parameters (Å, degrees): 5.7070 5.7070 4.0252 90.00 90.00 90.00
Fractional coordinates of all 4 atoms:
In  0.0000  0.0000  0.0000
Ag  0.5000  0.5000  0.0000
I  0.0000  0.5000  0.5000
I  0.5000  0.0000  0.5000

Principal peaks in the range 2θ from 10° to 80°, sorted by position:
2theta	I/Imax
31.38	100
44.92	12
45.05	6
55.85	37
65.47	11
74.34	11
74.53	5



Record 4
Diffraction record for Rb2InAgI6. The powder XRD pattern is simulated, not measured: it uses a crystal structure in the Materials Project, relaxed with GGA-PBE and a wavelength of 1.5418 Å.
Peak positions follow from Bragg's law for the DFT cell and can differ from measured ones.

Crystal structure
Lattice parameters (Å, degrees): 8.4587 8.4587 8.4587 60.00 60.00 60.00
Fractional coordinates of all 10 atoms:
Rb  0.2500  0.2500  0.2500
Rb  0.7500  0.7500  0.7500
In  0.0000  0.0000  0.0000
Ag  0.5000  0.5000  0.5000
I  0.2483  0.2483  0.7517
I  0.2483  0.7517  0.2483
I  0.2483  0.7517  0.7517
I  0.7517  0.2483  0.2483
I  0.7517  0.2483  0.7517
I  0.7517  0.7517  0.2483

Principal peaks in the range 2θ from 10° to 80°, sorted by position:
2theta	I/Imax
14.81	38
25.80	71
29.88	100
33.50	21
42.76	74
50.62	33
53.04	26
68.36	13
70.40	33
78.31	25



Record 5
Diffraction record for In2AgSe3I. The powder XRD pattern is simulated, not measured: it uses a crystal structure in the Materials Project, relaxed with GGA-PBE and a wavelength of 1.5418 Å.
Peak positions follow from Bragg's law for the DFT cell and can differ from measured ones.

Crystal structure
Lattice parameters (Å, degrees): 7.4132 7.4132 7.7229 98.46 98.46 33.18
Fractional coordinates of all 7 atoms:
In  0.0000  0.0000  0.0000
In  0.2476  0.2476  0.7579
Ag  0.5040  0.5040  0.4879
Se  0.0611  0.0611  0.6924
Se  0.5644  0.5644  0.1804
Se  0.8076  0.8076  0.9543
I  0.2988  0.2988  0.4277

Principal peaks in the range 2θ from 10° to 80°, sorted by position:
2theta	I/Imax
24.79	31
25.35	100
41.05	34
41.80	33
42.08	16
42.72	19
48.31	12
49.44	12
50.05	16
50.35	12



Record 6
Diffraction record for In2AgSe3I. The powder XRD pattern is simulated, not measured: it uses a crystal structure in the Materials Project, relaxed with GGA-PBE and a wavelength of 1.5418 Å.
Peak positions follow from Bragg's law for the DFT cell and can differ from measured ones.

Crystal structure
Lattice parameters (Å, degrees): 8.2693 8.2693 8.2693 60.47 60.47 60.47
Fractional coordinates of all 14 atoms:
In  0.0000  0.0000  0.0000
In  0.0000  0.0000  0.5000
In  0.0000  0.5000  0.0000
In  0.5000  0.0000  0.0000
Ag  0.4151  0.4151  0.4151
Ag  0.5849  0.5849  0.5849
Se  0.2094  0.7583  0.7583
Se  0.2417  0.2417  0.7906
Se  0.2417  0.7906  0.2417
Se  0.7583  0.2094  0.7583
Se  0.7583  0.7583  0.2094
Se  0.7906  0.2417  0.2417
I  0.2643  0.2643  0.2643
I  0.7357  0.7357  0.7357

Principal peaks in the range 2θ from 10° to 80°, sorted by position:
2theta	I/Imax
21.34	25
25.12	61
30.47	100
33.47	23
39.87	28
43.47	65
43.79	33
45.81	32
54.01	17
72.21	20



Record 7
Diffraction record for In2AgTe3I. The powder XRD pattern is simulated, not measured: it uses a crystal structure in the Materials Project, relaxed with GGA-PBE and a wavelength of 1.5418 Å.
Peak positions follow from Bragg's law for the DFT cell and can differ from measured ones.

Crystal structure
Lattice parameters (Å, degrees): 7.8460 7.8460 8.0826 98.02 98.02 33.66
Fractional coordinates of all 7 atoms:
In  0.0000  0.0000  0.0000
In  0.2481  0.2481  0.7498
Ag  0.5022  0.5022  0.4898
Te  0.0584  0.0584  0.6792
Te  0.5688  0.5688  0.1853
Te  0.8052  0.8052  0.9567
I  0.3061  0.3061  0.4371

Principal peaks in the range 2θ from 10° to 80°, sorted by position:
2theta	I/Imax
23.71	100
23.95	35
38.88	35
39.23	35
39.68	17
39.93	16
45.54	11
46.78	22
46.88	11
57.56	11



Record 8
Diffraction record for K2AgMoI6. The powder XRD pattern is simulated, not measured: it uses a crystal structure in the Materials Project, relaxed with GGA-PBE and a wavelength of 1.5418 Å.
Peak positions follow from Bragg's law for the DFT cell and can differ from measured ones.

Crystal structure
Lattice parameters (Å, degrees): 8.2626 8.2626 8.2626 60.00 60.00 60.00
Fractional coordinates of all 10 atoms:
K  0.2500  0.2500  0.2500
K  0.7500  0.7500  0.7500
Ag  0.0000  0.0000  0.0000
Mo  0.5000  0.5000  0.5000
I  0.2583  0.2583  0.7417
I  0.2583  0.7417  0.2583
I  0.2583  0.7417  0.7417
I  0.7417  0.2583  0.2583
I  0.7417  0.2583  0.7417
I  0.7417  0.7417  0.2583

Principal peaks in the range 2θ from 10° to 80°, sorted by position:
2theta	I/Imax
15.16	72
26.42	69
30.60	100
34.32	38
43.83	72
46.64	20
51.91	30
54.40	25
70.22	12
72.33	31



Record 9
Diffraction record for K2NdAgI6. The powder XRD pattern is simulated, not measured: it uses a crystal structure in the Materials Project, relaxed with GGA-PBE and a wavelength of 1.5418 Å.
Peak positions follow from Bragg's law for the DFT cell and can differ from measured ones.

Crystal structure
Lattice parameters (Å, degrees): 8.6686 8.6686 8.6686 60.00 60.00 60.00
Fractional coordinates of all 10 atoms:
K  0.2500  0.2500  0.2500
K  0.7500  0.7500  0.7500
Nd  0.0000  0.0000  0.0000
Ag  0.5000  0.5000  0.5000
I  0.2530  0.2530  0.7470
I  0.2530  0.7470  0.2530
I  0.2530  0.7470  0.7470
I  0.7470  0.2530  0.2530
I  0.7470  0.2530  0.7470
I  0.7470  0.7470  0.2530

Principal peaks in the range 2θ from 10° to 80°, sorted by position:
2theta	I/Imax
14.45	80
25.16	55
29.14	100
32.67	45
41.68	74
44.33	24
49.31	25
51.66	26
68.45	33
76.07	24



Record 10
Diffraction record for K2AgSbI6. The powder XRD pattern is simulated, not measured: it uses a crystal structure in the Materials Project, relaxed with GGA-PBE and a wavelength of 1.5418 Å.
Peak positions follow from Bragg's law for the DFT cell and can differ from measured ones.

Crystal structure
Lattice parameters (Å, degrees): 8.5116 8.5116 8.5116 60.00 60.00 60.00
Fractional coordinates of all 10 atoms:
K  0.2500  0.2500  0.2500
K  0.7500  0.7500  0.7500
Ag  0.0000  0.0000  0.0000
Sb  0.5000  0.5000  0.5000
I  0.2485  0.2485  0.7515
I  0.2485  0.7515  0.2485
I  0.2485  0.7515  0.7515
I  0.7515  0.2485  0.2485
I  0.7515  0.2485  0.7515
I  0.7515  0.7515  0.2485

Principal peaks in the range 2θ from 10° to 80°, sorted by position:
2theta	I/Imax
14.72	75
25.64	62
29.69	100
33.29	42
42.48	74
45.20	22
50.28	28
52.68	26
69.90	32
77.73	24



Record 11
Diffraction record for Rb2AgMoI6. The powder XRD pattern is simulated, not measured: it uses a crystal structure in the Materials Project, relaxed with GGA-PBE and a wavelength of 1.5418 Å.
Peak positions follow from Bragg's law for the DFT cell and can differ from measured ones.

Crystal structure
Lattice parameters (Å, degrees): 8.2961 8.2961 8.2961 60.00 60.00 60.00
Fractional coordinates of all 10 atoms:
Rb  0.2500  0.2500  0.2500
Rb  0.7500  0.7500  0.7500
Ag  0.0000  0.0000  0.0000
Mo  0.5000  0.5000  0.5000
I  0.2586  0.2586  0.7414
I  0.2586  0.7414  0.2586
I  0.2586  0.7414  0.7414
I  0.7414  0.2586  0.2586
I  0.7414  0.2586  0.7414
I  0.7414  0.7414  0.2586

Principal peaks in the range 2θ from 10° to 80°, sorted by position:
2theta	I/Imax
15.10	36
26.31	77
30.48	100
34.18	19
43.64	72
51.68	34
54.16	25
63.43	11
69.90	13
71.99	31



Record 12
Diffraction record for AgIO3. The powder XRD pattern is simulated, not measured: it uses a crystal structure in the Materials Project, relaxed with GGA-PBE and a wavelength of 1.5418 Å.
Peak positions follow from Bragg's law for the DFT cell and can differ from measured ones.

Crystal structure
Lattice parameters (Å, degrees): 15.5116 7.2606 5.8972 90.00 90.00 90.00
Fractional coordinates of all 40 atoms:
Ag  0.2026  0.1058  0.0000
Ag  0.2059  0.6310  0.9926
Ag  0.2941  0.6310  0.4926
Ag  0.2974  0.1058  0.5000
Ag  0.7026  0.8942  0.0000
Ag  0.7059  0.3690  0.9926
Ag  0.7941  0.3690  0.4926
Ag  0.7974  0.8942  0.5000
I  0.0893  0.3694  0.5991
I  0.0902  0.8641  0.5137
I  0.4098  0.8641  0.0137
I  0.4107  0.3694  0.0991
I  0.5893  0.6306  0.5991
I  0.5902  0.1359  0.5137
I  0.9098  0.1359  0.0137
I  0.9107  0.6306  0.0991
O  0.0646  0.1757  0.7948
O  0.0668  0.5631  0.7936
O  0.1081  0.0602  0.3198
O  0.1195  0.6678  0.3286
O  0.1951  0.8739  0.6680
O  0.2071  0.3644  0.6431
O  0.2929  0.3644  0.1431
O  0.3049  0.8739  0.1680
O  0.3805  0.6678  0.8286
O  0.3919  0.0602  0.8198
O  0.4332  0.5631  0.2936
O  0.4354  0.1757  0.2948
O  0.5646  0.8243  0.7948
O  0.5668  0.4369  0.7936
O  0.6081  0.9398  0.3198
O  0.6195  0.3322  0.3286
O  0.6951  0.1261  0.6680
O  0.7071  0.6356  0.6431
O  0.7929  0.6356  0.1431
O  0.8049  0.1261  0.1680
O  0.8805  0.3322  0.8286
O  0.8919  0.9398  0.8198
O  0.9332  0.4369  0.2936
O  0.9354  0.8243  0.2948

Principal peaks in the range 2θ from 10° to 80°, sorted by position:
2theta	I/Imax
18.90	36
27.53	100
29.46	91
30.08	64
30.31	35
33.78	38
38.00	26
43.23	61
50.69	40
58.26	22



Record 13
Diffraction record for AgIO3. The powder XRD pattern is simulated, not measured: it uses a crystal structure in the Materials Project, relaxed with GGA-PBE and a wavelength of 1.5418 Å.
Peak positions follow from Bragg's law for the DFT cell and can differ from measured ones.

Crystal structure
Lattice parameters (Å, degrees): 6.6458 8.4451 5.9151 90.00 90.00 90.00
Fractional coordinates of all 20 atoms:
Ag  0.0000  0.0000  0.0000
Ag  0.0000  0.5000  0.0000
Ag  0.5000  0.0000  0.5000
Ag  0.5000  0.5000  0.5000
I  0.0182  0.2500  0.4879
I  0.4818  0.7500  0.9879
I  0.5182  0.2500  0.0121
I  0.9818  0.7500  0.5121
O  0.1017  0.2500  0.7850
O  0.1667  0.0855  0.3671
O  0.1667  0.4145  0.3671
O  0.3333  0.5855  0.8671
O  0.3333  0.9145  0.8671
O  0.3983  0.7500  0.2850
O  0.6017  0.2500  0.7150
O  0.6667  0.0855  0.1329
O  0.6667  0.4145  0.1329
O  0.8333  0.5855  0.6329
O  0.8333  0.9145  0.6329
O  0.8983  0.7500  0.2150

Principal peaks in the range 2θ from 10° to 80°, sorted by position:
2theta	I/Imax
26.83	30
29.26	100
30.22	21
40.85	20
42.83	9
48.92	26
51.27	12
53.08	21
60.67	12
70.18	9